# MnMoH2SeO7
Simulated PXRD pattern, Cu Kα. Input: DFT lattice parameters and positions (PBE+U).
Lines closer than 0.1° are merged.

Peak list (8 most intense, 2θ = 5–70°, sorted by position)
| 2θ (°) | I_rel |
| --- | --- |
| 9.76 | 100 |
| 13.71 | 30 |
| 26.35 | 66 |
| 26.79 | 59 |
| 27.27 | 38 |
| 28.93 | 25 |
| 29.32 | 63 |
| 31.64 | 34 |

Structural model:
```
data_MnMoH2SeO7
_cell_length_a 5.113
_cell_length_b 6.888
_cell_length_c 9.156
_cell_angle_alpha 92.19
_cell_angle_beta 96.47
_cell_angle_gamma 109.76
_symmetry_space_group_name_H-M 'P 1'
_symmetry_Int_Tables_number 1
loop_
_symmetry_equiv_pos_as_xyz
'x,y,z'
loop_
_atom_site_label
_atom_site_fract_x
_atom_site_fract_y
_atom_site_fract_z
Mn1 0.000 0.000 0.000
Mn2 0.500 0.500 0.500
Mo1 0.205 0.907 0.601
Mo2 0.795 0.093 0.399
H1 0.408 0.371 0.134
H2 0.451 0.738 0.982
H3 0.549 0.262 0.018
H4 0.592 0.629 0.866
Se1 0.152 0.690 0.245
Se2 0.848 0.310 0.755
O1 0.147 0.967 0.780
O2 0.157 0.188 0.509
O3 0.213 0.782 0.079
O4 0.262 0.667 0.607
O5 0.343 0.533 0.275
O6 0.374 0.259 0.056
O7 0.376 0.912 0.377
O8 0.624 0.088 0.623
O9 0.626 0.741 0.944
O10 0.657 0.467 0.725
O11 0.738 0.333 0.393
O12 0.787 0.218 0.921
O13 0.843 0.812 0.491
O14 0.853 0.033 0.220
```

# Li3MnV3O8
Simulated PXRD pattern, Cu Kα. Input: DFT lattice parameters and positions (PBE+U).
Lines closer than 0.1° are merged.

Peak list (8 most intense, 2θ = 5–70°, sorted by position)
| 2θ (°) | I_rel |
| --- | --- |
| 14.04 | 98 |
| 14.85 | 68 |
| 23.05 | 100 |
| 28.29 | 71 |
| 28.99 | 41 |
| 43.01 | 56 |
| 43.38 | 67 |
| 44.43 | 71 |

Structural model:
```
data_Li3MnV3O8
_cell_length_a 6.581
_cell_length_b 6.581
_cell_length_c 6.618
_cell_angle_alpha 106.70
_cell_angle_beta 106.70
_cell_angle_gamma 36.10
_symmetry_space_group_name_H-M 'P 1'
_symmetry_Int_Tables_number 1
loop_
_symmetry_equiv_pos_as_xyz
'x,y,z'
loop_
_atom_site_label
_atom_site_fract_x
_atom_site_fract_y
_atom_site_fract_z
Li1 0.000 0.000 0.000
Li2 0.116 0.116 0.638
Li3 0.239 0.239 0.371
Mn1 0.463 0.463 0.700
V1 0.569 0.569 0.305
V2 0.781 0.781 0.713
V3 0.886 0.886 0.310
O1 0.057 0.057 0.316
O2 0.282 0.282 0.682
O3 0.408 0.408 0.332
O4 0.538 0.538 0.027
O5 0.618 0.618 0.629
O6 0.736 0.736 0.375
O7 0.835 0.835 0.995
O8 0.939 0.939 0.656
```

# Ba2V2O5
Simulated PXRD pattern, Cu Kα. Input: DFT lattice parameters and positions (PBE+U).
Lines closer than 0.1° are merged.

Peak list (8 most intense, 2θ = 5–70°, sorted by position)
| 2θ (°) | I_rel |
| --- | --- |
| 23.34 | 43 |
| 29.19 | 71 |
| 29.35 | 100 |
| 30.46 | 83 |
| 30.93 | 74 |
| 31.05 | 74 |
| 39.15 | 37 |
| 42.70 | 64 |

Structural model:
```
data_Ba2V2O5
_cell_length_a 5.762
_cell_length_b 5.784
_cell_length_c 23.009
_cell_angle_alpha 89.32
_cell_angle_beta 89.19
_cell_angle_gamma 61.12
_symmetry_space_group_name_H-M 'P 1'
_symmetry_Int_Tables_number 1
loop_
_symmetry_equiv_pos_as_xyz
'x,y,z'
loop_
_atom_site_label
_atom_site_fract_x
_atom_site_fract_y
_atom_site_fract_z
Ba1 0.000 0.000 0.000
Ba2 0.002 0.016 0.498
Ba3 0.010 0.996 0.692
Ba4 0.025 0.976 0.191
Ba5 0.332 0.358 0.589
Ba6 0.335 0.353 0.401
Ba7 0.345 0.335 0.899
Ba8 0.353 0.323 0.093
Ba9 0.674 0.667 0.795
Ba10 0.682 0.664 0.296
V1 0.021 0.985 0.340
V2 0.038 0.990 0.849
V3 0.305 0.350 0.741
V4 0.345 0.343 0.252
V5 0.647 0.720 0.443
V6 0.656 0.673 0.048
V7 0.660 0.703 0.545
V8 0.661 0.678 0.655
V9 0.672 0.674 0.936
V10 0.719 0.604 0.149
O1 0.030 0.475 0.196
O2 0.168 0.174 0.795
O3 0.168 0.676 0.794
O4 0.182 0.165 0.296
O5 0.182 0.666 0.295
O6 0.333 0.849 0.395
O7 0.344 0.835 0.896
O8 0.363 0.831 0.598
O9 0.386 0.837 0.106
O10 0.494 0.012 0.494
O11 0.511 0.009 0.700
O12 0.515 0.492 0.696
O13 0.526 0.519 0.493
O14 0.528 0.514 0.997
O15 0.528 0.970 0.996
O16 0.529 0.479 0.195
O17 0.681 0.165 0.295
O18 0.828 0.818 0.595
O19 0.838 0.850 0.395
O20 0.846 0.833 0.895
O21 0.849 0.335 0.896
O22 0.856 0.795 0.097
O23 0.857 0.341 0.090
O24 0.968 0.524 0.494
O25 0.999 0.495 0.692
```

# LiVP2O8
Simulated PXRD pattern, Cu Kα. Input: DFT lattice parameters and positions (PBE+U).
Lines closer than 0.1° are merged.

Peak list (8 most intense, 2θ = 5–70°, sorted by position)
| 2θ (°) | I_rel |
| --- | --- |
| 13.28 | 76 |
| 24.75 | 100 |
| 25.52 | 65 |
| 33.25 | 23 |
| 34.21 | 18 |
| 34.39 | 28 |
| 38.29 | 18 |
| 41.37 | 13 |

Structural model:
```
data_LiVP2O8
_cell_length_a 4.742
_cell_length_b 4.742
_cell_length_c 6.681
_cell_angle_alpha 92.94
_cell_angle_beta 92.94
_cell_angle_gamma 67.11
_symmetry_space_group_name_H-M 'P 1'
_symmetry_Int_Tables_number 1
loop_
_symmetry_equiv_pos_as_xyz
'x,y,z'
loop_
_atom_site_label
_atom_site_fract_x
_atom_site_fract_y
_atom_site_fract_z
Li1 0.000 0.000 0.000
V1 0.000 0.000 0.500
P1 0.344 0.344 0.264
P2 0.656 0.656 0.736
O1 0.220 0.702 0.298
O2 0.226 0.226 0.444
O3 0.249 0.249 0.064
O4 0.298 0.780 0.702
O5 0.702 0.220 0.298
O6 0.751 0.751 0.936
O7 0.774 0.774 0.556
O8 0.780 0.298 0.702
```

# Li2Cr2H4O9
Simulated PXRD pattern, Cu Kα. Input: DFT lattice parameters and positions (PBE+U).
Lines closer than 0.1° are merged.

Peak list (8 most intense, 2θ = 5–70°, sorted by position)
| 2θ (°) | I_rel |
| --- | --- |
| 13.00 | 20 |
| 16.26 | 100 |
| 16.65 | 19 |
| 22.91 | 18 |
| 23.25 | 46 |
| 24.36 | 19 |
| 25.19 | 49 |
| 39.88 | 14 |

Structural model:
```
data_Li2Cr2H4O9
_cell_length_a 7.845
_cell_length_b 7.845
_cell_length_c 8.956
_cell_angle_alpha 92.45
_cell_angle_beta 92.45
_cell_angle_gamma 59.32
_symmetry_space_group_name_H-M 'P 1'
_symmetry_Int_Tables_number 1
loop_
_symmetry_equiv_pos_as_xyz
'x,y,z'
loop_
_atom_site_label
_atom_site_fract_x
_atom_site_fract_y
_atom_site_fract_z
Li1 0.058 0.942 0.500
Li2 0.079 0.255 0.251
Li3 0.255 0.079 0.751
Li4 0.942 0.058 0.000
Cr1 0.319 0.647 0.100
Cr2 0.432 0.934 0.284
Cr3 0.647 0.319 0.600
Cr4 0.934 0.432 0.784
H1 0.065 0.610 0.527
H2 0.225 0.804 0.776
H3 0.342 0.710 0.628
H4 0.610 0.065 0.027
H5 0.710 0.342 0.128
H6 0.777 0.857 0.955
H7 0.804 0.225 0.276
H8 0.857 0.777 0.455
O1 0.023 0.233 0.889
O2 0.094 0.363 0.649
O3 0.158 0.651 0.209
O4 0.202 0.818 0.971
O5 0.233 0.023 0.389
O6 0.256 0.839 0.679
O7 0.363 0.094 0.149
O8 0.427 0.460 0.527
O9 0.460 0.427 0.027
O10 0.488 0.700 0.209
O11 0.623 0.911 0.377
O12 0.651 0.158 0.709
O13 0.700 0.488 0.709
O14 0.750 0.984 0.004
O15 0.818 0.202 0.471
O16 0.839 0.256 0.179
O17 0.911 0.623 0.877
O18 0.984 0.750 0.504
```

# Li3Mn3CrO8
Simulated PXRD pattern, Cu Kα. Input: DFT lattice parameters and positions (PBE+U).
Lines closer than 0.1° are merged.

Peak list (8 most intense, 2θ = 5–70°, sorted by position)
| 2θ (°) | I_rel |
| --- | --- |
| 18.04 | 100 |
| 35.35 | 24 |
| 35.60 | 11 |
| 42.61 | 44 |
| 43.40 | 21 |
| 56.08 | 11 |
| 62.31 | 11 |
| 62.56 | 18 |

Structural model:
```
data_Li3Mn3CrO8
_cell_length_a 5.939
_cell_length_b 5.939
_cell_length_c 6.064
_cell_angle_alpha 120.44
_cell_angle_beta 120.44
_cell_angle_gamma 60.03
_symmetry_space_group_name_H-M 'P 1'
_symmetry_Int_Tables_number 1
loop_
_symmetry_equiv_pos_as_xyz
'x,y,z'
loop_
_atom_site_label
_atom_site_fract_x
_atom_site_fract_y
_atom_site_fract_z
Li1 0.000 0.000 0.000
Li2 0.000 0.500 0.000
Li3 0.500 0.000 0.000
Mn1 0.000 0.500 0.500
Mn2 0.500 0.000 0.500
Mn3 0.500 0.500 0.500
Cr1 0.000 0.000 0.500
O1 0.239 0.239 0.698
O2 0.245 0.731 0.706
O3 0.266 0.266 0.254
O4 0.269 0.755 0.294
O5 0.731 0.245 0.706
O6 0.734 0.734 0.746
O7 0.755 0.269 0.294
O8 0.761 0.761 0.302
```